Calculated powder X-ray diffraction pattern of KCaMnO4 for copper Kα, from a PBE+U-relaxed structure.
Intensities are scaled so that the largest is 100.

Peak list (10 most intense, 2θ from 5° to 70°, low angle first)
2θ (°)	I/Imax
18.3	100
30.1	91
30.3	24
35.6	15
43.4	14
47.2	13
53.4	19
53.7	26
57.3	7
62.6	8

Atomic structure:
```
KCaMnO4
1.0
-2.9512 2.9512 4.2184
2.9512 -2.9512 4.2184
2.9512 2.9512 -4.2184
K Ca Mn O
1 1 1 4
direct
0.0000 0.0000 0.0000
0.5000 0.5000 0.0000
0.2500 0.7500 0.5000
0.2327 0.6630 0.1669
0.3370 0.5039 0.5697
0.4961 0.0658 0.8331
0.9342 0.7673 0.4303
```